(1)
Structure and simulated powder diffractogram of Mg2Zn2Cu (the PBE geometry in Alexandria; λ = 1.5418 Å (Cu Kα)).

Principal peaks in the range 2θ = 5–70°, sorted by position:
two_theta  I_rel
7.51  100
21.91  26
22.07  24
41.29  68
41.55  68
41.98  42

Cell and atoms:
```
data_Mg2Zn2Cu
_cell_length_a 4.3041
_cell_length_b 3.3070
_cell_length_c 11.7681
_cell_angle_alpha 90.00
_cell_angle_beta 90.60
_cell_angle_gamma 90.00
_space_group_name_H-M_alt 'P 1 21/m 1'
_space_group_IT_number 11
loop_
_space_group_symop_operation_xyz
'x,y,z'
'-x,-y,-z'
'-x,y+1/2,-z'
'x,-y+1/2,z'
loop_
_atom_site_label
_atom_site_fract_x
_atom_site_fract_y
_atom_site_fract_z
_atom_site_occupancy
Mg1 0.2441 0.2500 0.1887 1
Mg2 0.2487 0.7500 0.4219 1
Zn1 0.2502 0.7500 0.9951 1
Zn2 0.2528 0.7500 0.6616 1
Cu1 0.2569 0.2500 0.8311 1
```


(2)
Structure and simulated powder diffractogram of Mg6ZnCu (the PBE geometry in Alexandria; λ = 1.5418 Å (Cu Kα)).

Principal peaks in the range 2θ = 5–70°, sorted by position:
two_theta  I_rel
16.94  39
24.68  23
35.98  38
38.83  100
39.01  37
66.58  19

Cell and atoms:
```
data_Mg6ZnCu
_cell_length_a 4.9921
_cell_length_b 6.0585
_cell_length_c 10.4174
_cell_angle_alpha 90.00
_cell_angle_beta 90.00
_cell_angle_gamma 90.00
_space_group_name_H-M_alt 'A m m 2'
_space_group_IT_number 38
loop_
_space_group_symop_operation_xyz
'x,y,z'
'-x,-y,z'
'-x,y,z'
'x,-y,z'
'x,y+1/2,z+1/2'
'-x,-y+1/2,z+1/2'
'-x,y+1/2,z+1/2'
'x,-y+1/2,z+1/2'
loop_
_atom_site_label
_atom_site_fract_x
_atom_site_fract_y
_atom_site_fract_z
_atom_site_occupancy
Mg1 0.0000 0.0000 0.0000 1
Mg2 0.0000 0.2404 0.7436 1
Mg3 0.5000 0.0000 0.1730 1
Mg4 0.5000 0.2436 0.4275 1
Zn1 0.0000 0.0000 0.4985 1
Cu1 0.5000 0.0000 0.6756 1
```


(3)
Structure and simulated powder diffractogram of Mg4ZnCu8 (the PBE geometry in Alexandria; λ = 1.5418 Å (Cu Kα)).

Principal peaks in the range 2θ = 5–70°, sorted by position:
two_theta  I_rel
23.05  100
33.32  35
37.82  31
41.31  60
45.14  54
47.11  28

Cell and atoms:
```
data_Mg4ZnCu8
_cell_length_a 7.5014
_cell_length_b 7.5014
_cell_length_c 7.7162
_cell_angle_alpha 90.00
_cell_angle_beta 90.00
_cell_angle_gamma 90.00
_space_group_name_H-M_alt 'I 4/m m m'
_space_group_IT_number 139
_space_group_name_Hall '-I 4 2'
loop_
_atom_site_label
_atom_site_fract_x
_atom_site_fract_y
_atom_site_fract_z
_atom_site_occupancy
Mg1 0.2500 0.2500 0.2500 1
Zn1 0.0000 0.0000 0.0000 1
Cu1 0.0000 0.2240 0.5000 1
Cu2 0.0000 0.3316 0.0000 1
```


(4)
Structure and simulated powder diffractogram of Mg2Zn2Cu (the PBE geometry in Alexandria; λ = 1.5418 Å (Cu Kα)).

Principal peaks in the range 2θ = 5–70°, sorted by position:
two_theta  I_rel
20.72  49
36.83  21
40.53  100
40.75  94
41.64  48
44.25  30

Cell and atoms:
```
data_Mg2Zn2Cu
_cell_length_a 4.3381
_cell_length_b 5.2654
_cell_length_c 7.6896
_cell_angle_alpha 90.00
_cell_angle_beta 106.31
_cell_angle_gamma 90.00
_space_group_name_H-M_alt 'P 1 21 1'
_space_group_IT_number 4
loop_
_space_group_symop_operation_xyz
'x,y,z'
'-x,y+1/2,-z'
loop_
_atom_site_label
_atom_site_fract_x
_atom_site_fract_y
_atom_site_fract_z
_atom_site_occupancy
Mg1 0.0703 0.0000 0.1408 1
Mg2 0.2752 0.7531 0.5514 1
Zn1 0.3543 0.2409 0.7070 1
Zn2 0.4619 0.8399 0.9231 1
Cu1 0.1221 0.4868 0.2462 1
```


(5)
Structure and simulated powder diffractogram of MgZn6Cu6 (the PBE geometry in Alexandria; λ = 1.5418 Å (Cu Kα)).

Principal peaks in the range 2θ = 5–70°, sorted by position:
two_theta  I_rel
35.97  32
41.77  40
41.94  63
42.43  26
47.13  100
47.58  34

Cell and atoms:
```
data_MgZn6Cu6
_cell_length_a 4.9938
_cell_length_b 4.9938
_cell_length_c 8.5209
_cell_angle_alpha 90.00
_cell_angle_beta 90.00
_cell_angle_gamma 120.00
_space_group_name_H-M_alt 'P 6/m m m'
_space_group_IT_number 191
_space_group_name_Hall '-P 6 2'
loop_
_atom_site_label
_atom_site_fract_x
_atom_site_fract_y
_atom_site_fract_z
_atom_site_occupancy
Mg1 0.0000 0.0000 0.0000 1
Zn1 0.0000 0.0000 0.3416 1
Zn2 0.3333 0.6667 0.0000 1
Zn3 0.3333 0.6667 0.5000 1
Cu1 0.0000 0.5000 0.2466 1
```


(6)
Structure and simulated powder diffractogram of Mg3Zn4Cu4 (the PBE geometry in Alexandria; λ = 1.5418 Å (Cu Kα)).

Principal peaks in the range 2θ = 5–70°, sorted by position:
two_theta  I_rel
17.09  100
24.27  20
34.58  45
38.82  80
46.31  69
52.95  64

Cell and atoms:
```
data_Mg3Zn4Cu4
_cell_length_a 7.3360
_cell_length_b 7.3360
_cell_length_c 7.3360
_cell_angle_alpha 90.00
_cell_angle_beta 90.00
_cell_angle_gamma 90.00
_space_group_name_H-M_alt 'I -4 3 m'
_space_group_IT_number 217
_space_group_name_Hall 'I -4 2 3'
loop_
_atom_site_label
_atom_site_fract_x
_atom_site_fract_y
_atom_site_fract_z
_atom_site_occupancy
Mg1 0.0000 0.0000 0.5000 1
Zn1 0.1277 0.1277 0.1277 1
Cu1 0.1925 0.1925 0.8075 1
```


(7)
Structure and simulated powder diffractogram of Mg8ZnCu2 (the PBE geometry in Alexandria; λ = 1.5418 Å (Cu Kα)).

Principal peaks in the range 2θ = 5–70°, sorted by position:
two_theta  I_rel
23.46  29
23.73  27
36.25  16
37.95  100
40.71  24
41.37  17

Cell and atoms:
```
data_Mg8ZnCu2
_cell_length_a 4.4328
_cell_length_b 7.3257
_cell_length_c 13.0937
_cell_angle_alpha 90.00
_cell_angle_beta 90.00
_cell_angle_gamma 90.00
_space_group_name_H-M_alt 'I m m m'
_space_group_IT_number 71
_space_group_name_Hall '-I 2 2'
loop_
_atom_site_label
_atom_site_fract_x
_atom_site_fract_y
_atom_site_fract_z
_atom_site_occupancy
Mg1 0.0000 0.0000 0.1520 1
Mg2 0.0000 0.2178 0.3400 1
Mg3 0.0000 0.3048 0.0000 1
Zn1 0.0000 0.5000 0.5000 1
Cu1 0.0000 0.5000 0.1884 1
```


(8)
Structure and simulated powder diffractogram of Mg2Zn3Cu2 (the PBE geometry in Alexandria; λ = 1.5418 Å (Cu Kα)).

Principal peaks in the range 2θ = 5–70°, sorted by position:
two_theta  I_rel
37.42  100
41.37  84
42.38  36
44.48  36
50.43  20
63.11  20

Cell and atoms:
```
data_Mg2Zn3Cu2
_cell_length_a 4.0741
_cell_length_b 18.0936
_cell_length_c 3.0175
_cell_angle_alpha 90.00
_cell_angle_beta 90.00
_cell_angle_gamma 90.00
_space_group_name_H-M_alt 'C m m m'
_space_group_IT_number 65
_space_group_name_Hall '-C 2 2'
loop_
_atom_site_label
_atom_site_fract_x
_atom_site_fract_y
_atom_site_fract_z
_atom_site_occupancy
Mg1 0.0000 0.1584 0.0000 1
Zn1 0.0000 0.0000 0.0000 1
Zn2 0.0000 0.4286 0.5000 1
Cu1 0.0000 0.2887 0.5000 1
```